La4Pt3Br: theoretical powder XRD pattern (Cu Ka), based on the GGA-PBE geometry in Alexandria.
Neutral-atom scattering factors, no anomalous dispersion.

Crystal structure
Unit cell a=4.2674 b=4.2674 c=44.4996 alpha=90.00 beta=90.00 gamma=120.00
Space group R-3m (No. 166, hexagonal axes)
Inequivalent atoms, fractional coordinates:
1 La 0.0000 0.0000 0.1135 (multiplicity 6)
2 La 0.0000 0.0000 0.3721 (multiplicity 6)
3 Pt 0.0000 0.0000 0.0000 (multiplicity 3)
4 Pt 0.0000 0.0000 0.2537 (multiplicity 6)
5 Br 0.0000 0.0000 0.5000 (multiplicity 3)

The 6 most intense peaks (10° ≤ 2θ ≤ 80°), low angle first:
index	2theta	I/Imax
0 1 8	29.01	100.0
0 1 11	32.82	10.5
1 0 16	40.60	30.9
1 1 0	42.36	39.7
2 0 8	52.16	19.7
1 2 8	69.37	16.8